[1]
Calculated X-ray powder pattern of K3Pt3Pb5 for Cu Kα, from a PBE-relaxed structure.
Kinematic intensities with the Lorentz-polarization factor, no thermal factor.

Cell and atoms:
Cell lengths 8.645, 8.645, 6.395 Å; angles 90.00, 90.00, 120.00 degrees
Fractional coordinates of all 11 atoms:
K (0.000, 0.345, 0.000)
K (0.345, 0.000, 0.000)
K (0.655, 0.655, 0.000)
Pt (0.000, 0.369, 0.500)
Pt (0.369, 0.000, 0.500)
Pt (0.631, 0.631, 0.500)
Pb (0.000, 0.754, 0.500)
Pb (0.246, 0.246, 0.500)
Pb (0.333, 0.667, 0.500)
Pb (0.667, 0.333, 0.500)
Pb (0.754, 0.000, 0.500)

Principal peaks in the range 10 to 80 degrees two-theta, in order of rising 2θ:
2θ/deg	I/Imax
13.85	100
27.90	28
31.62	22
34.66	32
35.99	20
38.73	22
42.67	19
46.14	20
53.84	9
69.89	8



[2]
Calculated X-ray powder pattern of KSnPt2Pb for Cu Kα, from a PBE-relaxed structure.
Kinematic intensities with the Lorentz-polarization factor, no thermal factor.

Cell and atoms:
Cell lengths 7.704, 4.629, 7.726 Å; angles 90.00, 95.09, 90.00 degrees
Fractional coordinates of all 10 atoms:
K (0.134, 0.250, 0.359)
K (0.866, 0.750, 0.641)
Sn (0.385, 0.750, 0.616)
Sn (0.615, 0.250, 0.384)
Pt (0.415, 0.250, 0.056)
Pt (0.461, 0.750, 0.279)
Pt (0.539, 0.250, 0.721)
Pt (0.585, 0.750, 0.944)
Pb (0.205, 0.750, 0.982)
Pb (0.795, 0.250, 0.018)

Principal peaks in the range 10 to 80 degrees two-theta, in order of rising 2θ:
2θ/deg	I/Imax
11.52	100
31.43	15
33.22	31
34.98	10
37.08	10
38.91	17
40.20	16
40.71	10
42.90	27
45.24	12



[3]
Calculated X-ray powder pattern of K12Rb16Pb for Cu Kα, from a PBE-relaxed structure.
Kinematic intensities with the Lorentz-polarization factor, no thermal factor.

Cell and atoms:
Cell lengths 14.230, 14.230, 14.457 Å; angles 109.32, 109.32, 107.53 degrees
Fractional coordinates of all 29 atoms:
K (0.000, 0.000, 0.000)
K (0.122, 0.556, 0.988)
K (0.174, 0.994, 0.775)
K (0.183, 0.183, 0.386)
K (0.351, 0.728, 0.345)
K (0.360, 0.548, 0.529)
K (0.497, 0.692, 0.124)
K (0.548, 0.360, 0.529)
K (0.556, 0.122, 0.988)
K (0.692, 0.497, 0.124)
K (0.728, 0.351, 0.345)
K (0.994, 0.174, 0.775)
Rb (0.013, 0.811, 0.240)
Rb (0.033, 0.346, 0.579)
Rb (0.072, 0.662, 0.474)
Rb (0.333, 0.744, 0.833)
Rb (0.338, 0.985, 0.163)
Rb (0.340, 0.340, 0.788)
Rb (0.346, 0.033, 0.579)
Rb (0.353, 0.353, 0.164)
Rb (0.647, 0.922, 0.738)
Rb (0.662, 0.072, 0.474)
Rb (0.668, 0.668, 0.887)
Rb (0.744, 0.333, 0.833)
Rb (0.802, 0.802, 0.474)
Rb (0.811, 0.013, 0.240)
Rb (0.922, 0.647, 0.738)
Rb (0.985, 0.338, 0.163)
Pb (0.060, 0.060, 0.535)

Principal peaks in the range 10 to 80 degrees two-theta, in order of rising 2θ:
2θ/deg	I/Imax
13.02	46
21.44	28
22.25	33
22.39	81
22.55	72
22.85	68
23.03	100
24.42	31
24.94	33
25.63	45



[4]
Calculated X-ray powder pattern of K7Rb12Pb for Cu Kα, from a PBE-relaxed structure.
Kinematic intensities with the Lorentz-polarization factor, no thermal factor.

Cell and atoms:
Cell lengths 15.262, 15.262, 15.262 Å; angles 116.74, 116.74, 116.74 degrees
Fractional coordinates of all 20 atoms:
K (0.000, 0.000, 0.000)
K (0.184, 0.404, 0.404)
K (0.404, 0.184, 0.404)
K (0.404, 0.404, 0.184)
K (0.596, 0.596, 0.816)
K (0.596, 0.816, 0.596)
K (0.816, 0.596, 0.596)
Rb (0.000, 0.411, 0.589)
Rb (0.000, 0.589, 0.411)
Rb (0.047, 0.047, 0.394)
Rb (0.047, 0.394, 0.047)
Rb (0.394, 0.047, 0.047)
Rb (0.411, 0.000, 0.589)
Rb (0.411, 0.589, 0.000)
Rb (0.589, 0.000, 0.411)
Rb (0.589, 0.411, 0.000)
Rb (0.606, 0.953, 0.953)
Rb (0.953, 0.606, 0.953)
Rb (0.953, 0.953, 0.606)
Pb (0.500, 0.500, 0.500)

Principal peaks in the range 10 to 80 degrees two-theta, in order of rising 2θ:
2θ/deg	I/Imax
17.73	94
20.50	54
22.43	64
22.69	92
24.46	100
24.70	61
29.15	39
34.51	43
35.21	66
38.40	38



[5]
Calculated X-ray powder pattern of K8RbPb2 for Cu Kα, from a PBE-relaxed structure.
Kinematic intensities with the Lorentz-polarization factor, no thermal factor.

Cell and atoms:
Cell lengths 7.685, 8.116, 10.844 Å; angles 74.48, 69.89, 89.73 degrees
Fractional coordinates of all 11 atoms:
K (0.000, 0.000, 0.000)
K (0.005, 0.961, 0.413)
K (0.055, 0.560, 0.771)
K (0.223, 0.496, 0.384)
K (0.418, 0.052, 0.588)
K (0.559, 0.798, 0.955)
K (0.611, 0.529, 0.613)
K (0.818, 0.448, 0.236)
Rb (0.498, 0.236, 0.042)
Pb (0.574, 0.844, 0.305)
Pb (0.883, 0.173, 0.689)

Principal peaks in the range 10 to 80 degrees two-theta, in order of rising 2θ:
2θ/deg	I/Imax
12.35	85
12.43	44
15.93	100
17.76	45
25.88	63
27.36	55
28.35	41
28.71	43
29.74	57
29.87	45



[6]
Calculated X-ray powder pattern of KRePb for Cu Kα, from a PBE-relaxed structure.
Kinematic intensities with the Lorentz-polarization factor, no thermal factor.

Cell and atoms:
Cell lengths 3.083, 3.083, 15.666 Å; angles 90.00, 90.00, 90.00 degrees
Fractional coordinates of all 6 atoms:
K (0.000, 0.000, 0.000)
K (0.500, 0.500, 0.500)
Re (0.000, 0.000, 0.676)
Re (0.500, 0.500, 0.176)
Pb (0.000, 0.000, 0.304)
Pb (0.500, 0.500, 0.804)

Principal peaks in the range 10 to 80 degrees two-theta, in order of rising 2θ:
2θ/deg	I/Imax
11.30	99
33.76	100
34.35	16
41.08	36
41.42	32
43.07	17
54.87	17
63.90	13
70.67	24
75.31	13



[7]
Calculated X-ray powder pattern of KRu2Pb for Cu Kα, from a PBE-relaxed structure.
Kinematic intensities with the Lorentz-polarization factor, no thermal factor.

Cell and atoms:
Cell lengths 2.954, 3.636, 8.629 Å; angles 90.00, 90.21, 90.00 degrees
Fractional coordinates of all 4 atoms:
K (0.000, 0.000, 0.000)
Ru (0.002, 0.000, 0.575)
Ru (0.504, 0.500, 0.697)
Pb (0.500, 0.500, 0.351)

Principal peaks in the range 10 to 80 degrees two-theta, in order of rising 2θ:
2θ/deg	I/Imax
10.25	100
26.60	13
31.09	18
32.20	36
36.81	12
36.94	13
39.30	41
39.97	22
40.72	16
63.88	11



[8]
Calculated X-ray powder pattern of K8PbS6 for Cu Kα, from a PBE-relaxed structure.
Kinematic intensities with the Lorentz-polarization factor, no thermal factor.

Cell and atoms:
Cell lengths 9.678, 8.631, 12.077 Å; angles 90.00, 90.00, 90.00 degrees
Fractional coordinates of all 30 atoms:
K (0.000, 0.143, 0.000)
K (0.000, 0.190, 0.516)
K (0.173, 0.514, 0.158)
K (0.179, 0.682, 0.858)
K (0.195, 0.937, 0.236)
K (0.305, 0.063, 0.736)
K (0.321, 0.318, 0.358)
K (0.327, 0.486, 0.658)
K (0.500, 0.810, 0.016)
K (0.500, 0.857, 0.500)
K (0.673, 0.486, 0.658)
K (0.679, 0.318, 0.358)
K (0.695, 0.063, 0.736)
K (0.805, 0.937, 0.236)
K (0.821, 0.682, 0.858)
K (0.827, 0.514, 0.158)
Pb (0.000, 0.690, 0.544)
Pb (0.500, 0.310, 0.044)
S (0.000, 0.230, 0.265)
S (0.000, 0.465, 0.682)
S (0.000, 0.786, 0.057)
S (0.000, 0.915, 0.682)
S (0.218, 0.675, 0.430)
S (0.282, 0.325, 0.930)
S (0.500, 0.085, 0.182)
S (0.500, 0.214, 0.557)
S (0.500, 0.535, 0.182)
S (0.500, 0.770, 0.765)
S (0.718, 0.325, 0.930)
S (0.782, 0.675, 0.430)

Principal peaks in the range 10 to 80 degrees two-theta, in order of rising 2θ:
2θ/deg	I/Imax
11.72	100
12.61	86
13.75	94
20.16	59
22.31	46
23.56	96
25.37	66
27.02	53
28.65	60
33.15	49



[9]
Calculated X-ray powder pattern of K2PbS2 for Cu Kα, from a PBE-relaxed structure.
Kinematic intensities with the Lorentz-polarization factor, no thermal factor.

Cell and atoms:
Cell lengths 10.784, 8.122, 7.810 Å; angles 90.00, 103.80, 90.00 degrees
Fractional coordinates of all 20 atoms:
K (0.027, 0.241, 0.010)
K (0.027, 0.259, 0.510)
K (0.319, 0.655, 0.014)
K (0.319, 0.845, 0.514)
K (0.681, 0.155, 0.486)
K (0.681, 0.345, 0.986)
K (0.973, 0.741, 0.490)
K (0.973, 0.759, 0.990)
Pb (0.358, 0.150, 0.940)
Pb (0.358, 0.350, 0.440)
Pb (0.642, 0.650, 0.560)
Pb (0.642, 0.850, 0.060)
S (0.147, 0.531, 0.285)
S (0.147, 0.969, 0.785)
S (0.462, 0.540, 0.720)
S (0.462, 0.960, 0.220)
S (0.538, 0.040, 0.780)
S (0.538, 0.460, 0.280)
S (0.853, 0.031, 0.215)
S (0.853, 0.469, 0.715)

Principal peaks in the range 10 to 80 degrees two-theta, in order of rising 2θ:
2θ/deg	I/Imax
13.80	72
15.99	64
16.74	71
20.18	52
25.51	46
27.22	100
28.58	61
31.83	51
32.33	82
33.83	50



[10]
Calculated X-ray powder pattern of KTePb2S4 for Cu Kα, from a PBE-relaxed structure.
Kinematic intensities with the Lorentz-polarization factor, no thermal factor.

Cell and atoms:
Cell lengths 8.293, 8.293, 8.367 Å; angles 117.63, 117.63, 89.55 degrees
Fractional coordinates of all 16 atoms:
K (0.000, 0.000, 0.000)
K (0.000, 0.000, 0.500)
Te (0.000, 0.500, 0.000)
Te (0.500, 0.000, 0.500)
Pb (0.000, 0.500, 0.500)
Pb (0.500, 0.000, 0.000)
Pb (0.500, 0.500, 0.000)
Pb (0.500, 0.500, 0.500)
S (0.213, 0.707, 0.959)
S (0.250, 0.283, 0.027)
S (0.283, 0.250, 0.527)
S (0.293, 0.787, 0.541)
S (0.707, 0.213, 0.459)
S (0.717, 0.750, 0.473)
S (0.750, 0.717, 0.973)
S (0.787, 0.293, 0.041)

Principal peaks in the range 10 to 80 degrees two-theta, in order of rising 2θ:
2θ/deg	I/Imax
12.49	68
25.13	100
26.25	86
28.17	93
30.43	77
30.61	76
40.48	32
42.08	61
43.71	57
51.59	31



[11]
Calculated X-ray powder pattern of K3UPb2S6 for Cu Kα, from a PBE-relaxed structure.
Kinematic intensities with the Lorentz-polarization factor, no thermal factor.

Cell and atoms:
Cell lengths 7.344, 7.344, 7.662 Å; angles 99.27, 99.27, 119.94 degrees
Fractional coordinates of all 12 atoms:
K (0.000, 0.000, 0.000)
K (0.326, 0.674, 0.000)
K (0.674, 0.326, 0.000)
U (0.500, 0.500, 0.500)
Pb (0.166, 0.834, 0.500)
Pb (0.834, 0.166, 0.500)
S (0.132, 0.431, 0.293)
S (0.272, 0.272, 0.706)
S (0.431, 0.132, 0.293)
S (0.569, 0.868, 0.707)
S (0.728, 0.728, 0.294)
S (0.868, 0.569, 0.707)

Principal peaks in the range 10 to 80 degrees two-theta, in order of rising 2θ:
2θ/deg	I/Imax
12.20	100
24.57	69
25.60	57
29.30	38
29.36	76
37.92	26
41.30	41
42.63	40
44.51	27
49.81	31



[12]
Calculated X-ray powder pattern of K2VPbS4 for Cu Kα, from a PBE-relaxed structure.
Kinematic intensities with the Lorentz-polarization factor, no thermal factor.

Cell and atoms:
Cell lengths 9.536, 8.391, 6.452 Å; angles 90.00, 90.00, 90.00 degrees
Fractional coordinates of all 16 atoms:
K (0.245, 0.173, 0.000)
K (0.255, 0.827, 0.500)
K (0.745, 0.827, 0.500)
K (0.755, 0.173, 0.000)
V (0.000, 0.663, 0.053)
V (0.500, 0.337, 0.553)
Pb (0.000, 0.331, 0.518)
Pb (0.500, 0.669, 0.018)
S (0.000, 0.411, 0.931)
S (0.000, 0.629, 0.395)
S (0.196, 0.794, 0.986)
S (0.304, 0.206, 0.486)
S (0.500, 0.371, 0.895)
S (0.500, 0.589, 0.431)
S (0.696, 0.206, 0.486)
S (0.804, 0.794, 0.986)

Principal peaks in the range 10 to 80 degrees two-theta, in order of rising 2θ:
2θ/deg	I/Imax
10.54	60
14.06	44
17.34	90
21.18	44
21.43	94
25.32	47
25.54	100
27.65	80
37.27	66
47.03	56